[1]
GeH4NCl3: theoretical PXRD pattern (CuKα), based on a cell relaxed with GGA-PBE.
Peak positions follow from Bragg's law for the DFT cell and can differ from measured ones.

Principal peaks in the range 2θ = 5–70°, by angle:
h k l  2theta  I_rel
0 1 -1  13.29  100
0 1 1  14.24  92
0 0 2  15.73  96
1 -1 1  17.51  45
2 1 -2  29.58  35
2 0 -3  32.74  41
2 2 -1  33.26  43
0 2 4  40.83  32

Crystal structure
Lattice parameters (Å, degrees): 7.7953 7.8517 11.3001 94.20 91.31 91.20
Space group P1 (No. 1)
Asymmetric unit:
Ge: 0.0000 0.0000 0.0000 [1 per cell]
Ge: 0.1857 0.5339 0.4890 [1 per cell]
Ge: 0.4972 0.1035 0.9812 [1 per cell]
Ge: 0.6971 0.6509 0.4860 [1 per cell]
H: 0.1758 0.9907 0.6179 [1 per cell]
H: 0.2427 0.5755 0.1866 [1 per cell]
H: 0.2874 0.1188 0.7211 [1 per cell]
H: 0.2998 0.6735 0.0640 [1 per cell]
H: 0.3300 0.1267 0.5751 [1 per cell]
H: 0.3842 0.9518 0.6479 [1 per cell]
H: 0.4088 0.7157 0.1954 [1 per cell]
H: 0.4302 0.5243 0.1193 [1 per cell]
H: 0.7291 0.5841 0.7844 [1 per cell]
H: 0.7357 0.0385 0.3535 [1 per cell]
H: 0.7609 0.2146 0.2770 [1 per cell]
H: 0.7728 0.4003 0.8479 [1 per cell]
H: 0.7927 0.5948 0.9288 [1 per cell]
H: 0.8601 0.2059 0.4119 [1 per cell]
H: 0.9277 0.0851 0.2929 [1 per cell]
H: 0.9338 0.5423 0.8233 [1 per cell]
N: 0.2946 0.0464 0.6406 [1 per cell]
N: 0.3461 0.6222 0.1403 [1 per cell]
N: 0.8076 0.5290 0.8464 [1 per cell]
N: 0.8204 0.1360 0.3343 [1 per cell]
Cl: 0.0387 0.5036 0.3021 [1 per cell]
Cl: 0.1576 0.0129 0.1810 [1 per cell]
Cl: 0.1655 0.7782 0.9029 [1 per cell]
Cl: 0.2809 0.2780 0.9012 [1 per cell]
Cl: 0.3873 0.3154 0.4439 [1 per cell]
Cl: 0.5229 0.8426 0.3817 [1 per cell]
Cl: 0.5418 0.6957 0.6657 [1 per cell]
Cl: 0.6403 0.3295 0.1036 [1 per cell]
Cl: 0.6757 0.1327 0.8174 [1 per cell]
Cl: 0.7785 0.8134 0.0672 [1 per cell]
Cl: 0.9146 0.8579 0.5442 [1 per cell]
Cl: 0.9845 0.3548 0.5814 [1 per cell]

***

[2]
Rb2GeHCl6: theoretical PXRD pattern (CuKα), based on a cell relaxed with GGA-PBE.
Peak positions follow from Bragg's law for the DFT cell and can differ from measured ones.

Principal peaks in the range 2θ = 5–70°, by angle:
h k l  2theta  I_rel
1 0 1  14.83  34
2 0 0  22.45  45
1 1 2  25.23  88
2 0 2  29.92  90
1 0 3  31.60  33
2 2 0  31.96  100
3 1 2  41.14  37
4 0 0  45.82  30

Crystal structure
Lattice parameters (Å, degrees): 7.9215 7.9215 9.0939 90.00 90.00 90.00
Space group I4/mmm (No. 139)
Asymmetric unit:
Rb: 0.0000 0.5000 0.2500 [4 per cell]
Ge: 0.0000 0.0000 0.0000 [2 per cell]
H: 0.0000 0.0000 0.5000 [2 per cell]
Cl: 0.0000 0.0000 0.3261 [4 per cell]
Cl: 0.2147 0.2147 0.0000 [8 per cell]

***

[3]
GeH3SCl3: theoretical PXRD pattern (CuKα), based on a cell relaxed with GGA-PBE.
Peak positions follow from Bragg's law for the DFT cell and can differ from measured ones.

Principal peaks in the range 2θ = 5–70°, by angle:
h k l  2theta  I_rel
0 1 0  12.70  53
1 1 0  18.78  100
0 1 -2  20.37  48
0 1 2  21.01  48
1 2 0  26.06  40
1 -1 0  26.19  33
0 1 3  28.06  32
0 0 4  32.88  38

Crystal structure
Lattice parameters (Å, degrees): 5.0957 7.4241 11.0608 88.34 80.25 69.97
Space group P1 (No. 1)
Asymmetric unit:
Ge: 0.0000 0.0000 0.0000 [1 per cell]
Ge: 0.0848 0.9154 0.4812 [1 per cell]
H: 0.2592 0.2960 0.3426 [1 per cell]
H: 0.3782 0.5246 0.2973 [1 per cell]
H: 0.5784 0.5932 0.8577 [1 per cell]
H: 0.8670 0.6121 0.7137 [1 per cell]
H: 0.9436 0.3679 0.8124 [1 per cell]
H: 0.9863 0.5328 0.2847 [1 per cell]
S: 0.2575 0.4129 0.2408 [1 per cell]
S: 0.7261 0.4828 0.7504 [1 per cell]
Cl: 0.0760 0.8163 0.6874 [1 per cell]
Cl: 0.2337 0.2171 0.9157 [1 per cell]
Cl: 0.2649 0.1602 0.5112 [1 per cell]
Cl: 0.4208 0.7428 0.0235 [1 per cell]
Cl: 0.5418 0.6748 0.4034 [1 per cell]
Cl: 0.9114 0.1120 0.2050 [1 per cell]

***

[4]
NaHoGeCl6: theoretical PXRD pattern (CuKα), based on a cell relaxed with GGA-PBE.
Peak positions follow from Bragg's law for the DFT cell and can differ from measured ones.

Principal peaks in the range 2θ = 5–70°, by angle:
h k l  2theta  I_rel
0 0 2  14.11  70
1 0 0  14.93  41
1 0 1  16.52  32
1 0 2  20.59  69
1 1 0  26.02  31
1 1 2  29.71  100
1 1 4  38.91  88
3 0 0  45.88  46

Crystal structure
Lattice parameters (Å, degrees): 6.8520 6.8520 12.5574 90.00 90.00 120.00
Space group P-31c (No. 163)
Asymmetric unit:
Na: 0.0000 0.0000 0.0000 [2 per cell]
Ho: 0.3333 0.6667 0.2500 [2 per cell]
Ge: 0.3333 0.6667 0.7500 [2 per cell]
Cl: 0.0057 0.3564 0.1321 [12 per cell]

***

[5]
RbHoGe2Cl8: theoretical PXRD pattern (CuKα), based on a cell relaxed with GGA-PBE.
Peak positions follow from Bragg's law for the DFT cell and can differ from measured ones.

Principal peaks in the range 2θ = 5–70°, by angle:
h k l  2theta  I_rel
0 0 1  9.49  79
0 1 -1  15.43  35
1 -1 0  18.01  100
1 1 0  19.99  98
-1 1 1  20.52  45
1 0 -2  23.40  59
1 0 2  24.16  58
1 -2 0  27.96  42

Crystal structure
Lattice parameters (Å, degrees): 6.3122 7.0214 9.3370 93.12 91.56 95.83
Space group P-1 (No. 2)
Asymmetric unit:
Rb: 0.0000 0.0000 0.0000 [1 per cell]
Ho: 0.0000 0.0000 0.5000 [1 per cell]
Ge: 0.4542 0.5629 0.2827 [2 per cell]
Cl: 0.2117 0.1888 0.3090 [2 per cell]
Cl: 0.2225 0.6949 0.4598 [2 per cell]
Cl: 0.2728 0.6318 0.0804 [2 per cell]
Cl: 0.2780 0.1263 0.7126 [2 per cell]

***

[6]
GeICl3: theoretical PXRD pattern (CuKα), based on a cell relaxed with GGA-PBE.
Peak positions follow from Bragg's law for the DFT cell and can differ from measured ones.

Principal peaks in the range 2θ = 5–70°, by angle:
h k l  2theta  I_rel
0 2 0  10.37  25
1 1 0  11.92  100
0 1 1  13.28  25
1 3 0  18.95  82
1 2 1  19.34  32
2 2 0  23.97  37
1 4 1  26.55  26
3 3 0  36.32  27

Crystal structure
Lattice parameters (Å, degrees): 8.2457 17.0665 7.2443 90.00 90.00 90.00
Space group Ima2 (No. 46)
Asymmetric unit:
Ge: 0.2500 0.1130 0.0000 [4 per cell]
I: 0.2500 0.0725 0.3320 [4 per cell]
Cl: 0.0393 0.1812 0.9331 [8 per cell]
Cl: 0.2500 0.0114 0.8228 [4 per cell]

***

[7]
InGeCl3: theoretical PXRD pattern (CuKα), based on a cell relaxed with GGA-PBE.
Peak positions follow from Bragg's law for the DFT cell and can differ from measured ones.

Principal peaks in the range 2θ = 5–70°, by angle:
h k l  2theta  I_rel
1 0 0  15.50  53
0 0 2  21.56  76
1 1 -1  22.47  100
1 1 1  22.82  93
0 2 0  24.93  57
2 0 0  31.29  49
0 2 2  33.18  67
1 1 -3  38.14  49

Crystal structure
Lattice parameters (Å, degrees): 5.7197 7.1449 8.2472 90.00 91.33 90.00
Space group Pc (No. 7)
Asymmetric unit:
In: 0.0000 0.2395 0.0000 [2 per cell]
Ge: 0.6021 0.2659 0.5570 [2 per cell]
Cl: 0.0071 0.3203 0.6202 [2 per cell]
Cl: 0.5451 0.4409 0.9210 [2 per cell]
Cl: 0.6813 0.0868 0.3185 [2 per cell]

***

[8]
InGeCl3: theoretical PXRD pattern (CuKα), based on a cell relaxed with GGA-PBE.
Peak positions follow from Bragg's law for the DFT cell and can differ from measured ones.

Principal peaks in the range 2θ = 5–70°, by angle:
h k l  2theta  I_rel
2 0 0  20.65  27
1 2 1  22.77  100
0 0 2  24.17  16
2 0 2  32.00  24
3 2 1  37.49  43
2 4 0  39.12  19
1 2 3  41.70  30
2 4 2  46.52  16

Crystal structure
Lattice parameters (Å, degrees): 8.6023 10.9056 7.3634 90.00 90.00 90.00
Space group Pnma (No. 62)
Asymmetric unit:
In: 0.0000 0.0000 0.0000 [4 per cell]
Ge: 0.0047 0.2500 0.4844 [4 per cell]
Cl: 0.1097 0.2500 0.7811 [4 per cell]
Cl: 0.1659 0.0906 0.3685 [8 per cell]

***

[9]
Tl2InGeCl6: theoretical PXRD pattern (CuKα), based on a cell relaxed with GGA-PBE.
Peak positions follow from Bragg's law for the DFT cell and can differ from measured ones.

Principal peaks in the range 2θ = 5–70°, by angle:
h k l  2theta  I_rel
2 0 -1  16.50  15
0 2 1  23.42  100
2 2 -2  28.79  25
0 4 0  33.37  44
4 0 -1  37.44  23
2 4 -2  41.17  45
0 4 2  47.90  21
0 6 1  53.99  18

Crystal structure
Lattice parameters (Å, degrees): 10.7429 10.7368 7.5869 90.00 134.91 90.00
Space group Cm (No. 8)
Asymmetric unit:
Tl: 0.0000 0.2493 0.0000 [4 per cell]
In: 0.0556 0.5000 0.5027 [2 per cell]
Ge: 0.0558 0.0000 0.5032 [2 per cell]
Cl: 0.0714 0.2459 0.5031 [4 per cell]
Cl: 0.3111 0.0000 0.5015 [2 per cell]
Cl: 0.3170 0.0000 0.9945 [2 per cell]
Cl: 0.3219 0.5000 0.5053 [2 per cell]
Cl: 0.3256 0.5000 0.0111 [2 per cell]

***

[10]
K4Ge3Cl10: theoretical PXRD pattern (CuKα), based on a cell relaxed with GGA-PBE.
Peak positions follow from Bragg's law for the DFT cell and can differ from measured ones.

Principal peaks in the range 2θ = 5–70°, by angle:
h k l  2theta  I_rel
0 0 6  14.42  29
1 0 1  16.97  32
1 1 0  23.86  64
2 0 0  34.00  100
1 0 13  35.97  19
1 1 14  41.98  23
2 2 0  48.85  60
2 2 14  60.86  18

Crystal structure
Lattice parameters (Å, degrees): 5.2768 5.2768 36.8475 90.00 90.00 90.00
Space group I4/mmm (No. 139)
Asymmetric unit:
K: 0.0000 0.0000 0.0665 [4 per cell]
K: 0.0000 0.0000 0.1997 [4 per cell]
Ge: 0.0000 0.0000 0.3535 [4 per cell]
Ge: 0.0000 0.0000 0.5000 [2 per cell]
Cl: 0.0000 0.0000 0.2846 [4 per cell]
Cl: 0.0000 0.0000 0.4288 [4 per cell]
Cl: 0.0000 0.5000 0.0000 [4 per cell]
Cl: 0.0000 0.5000 0.1446 [8 per cell]

***

[11]
KGe3Cl12: theoretical PXRD pattern (CuKα), based on a cell relaxed with GGA-PBE.
Peak positions follow from Bragg's law for the DFT cell and can differ from measured ones.

Principal peaks in the range 2θ = 5–70°, by angle:
h k l  2theta  I_rel
1 1 1  17.36  100
2 0 1  19.16  46
0 0 2  20.66  20
2 1 0  21.38  34
1 3 0  29.28  19
1 2 2  29.90  32
1 1 3  34.31  17
3 2 1  37.14  18

Crystal structure
Lattice parameters (Å, degrees): 12.6988 12.6988 8.5995 90.00 90.00 120.00
Space group P6_3/m (No. 176)
Asymmetric unit:
K: 0.3333 0.6667 0.2500 [2 per cell]
Ge: 0.0950 0.7133 0.7500 [6 per cell]
Cl: 0.0041 0.1888 0.2500 [6 per cell]
Cl: 0.0284 0.4855 0.2500 [6 per cell]
Cl: 0.2109 0.7636 0.5417 [12 per cell]